This entry pairs a crystal structure of CuPtRhO4 with its theoretical powder diffraction line list. Radiation: Cu Kα (λ = 1.5418 Å). Structure: a cell relaxed with GGA-PBE.
Peak positions follow from Bragg's law for the DFT cell and can differ from measured ones.

Peak list (10 most intense, 5° ≤ 2θ ≤ 70°, by intensity)
17.73 deg, 5.002 Å, intensity 1000
33.90 deg, 2.644 Å, intensity 979
41.41 deg, 2.180 Å, intensity 638
60.01 deg, 1.542 Å, intensity 576
34.17 deg, 2.624 Å, intensity 515
35.42 deg, 2.534 Å, intensity 451
34.28 deg, 2.616 Å, intensity 410
35.91 deg, 2.501 Å, intensity 386
54.90 deg, 1.672 Å, intensity 284
54.72 deg, 1.678 Å, intensity 201

abc: 6.167 6.167 6.167
angles: 120.64 119.32 90.04
Atoms (fractional coordinates):
Cu 0.383 0.133 0.250
Cu 0.617 0.867 0.750
Pt 0.000 0.500 0.500
Pt 0.500 0.500 0.000
Rh 0.000 0.000 0.500
Rh 0.000 0.500 0.000
O 0.213 0.737 0.476
O 0.239 0.263 0.524
O 0.239 0.263 0.976
O 0.239 0.716 0.976
O 0.761 0.284 0.024
O 0.761 0.737 0.024
O 0.761 0.737 0.476
O 0.787 0.263 0.524

---

This entry pairs a crystal structure of Sr3Cu2PtO6 with its theoretical powder diffraction line list. Radiation: Cu Kα (λ = 1.5418 Å). Structure: a cell relaxed with GGA-PBE.
Peak positions follow from Bragg's law for the DFT cell and can differ from measured ones.

Peak list (10 most intense, 5° ≤ 2θ ≤ 70°, by intensity)
30.85 deg, 2.898 Å, intensity 1000
33.46 deg, 2.678 Å, intensity 739
46.15 deg, 1.967 Å, intensity 442
56.55 deg, 1.628 Å, intensity 330
13.98 deg, 6.333 Å, intensity 243
17.67 deg, 5.020 Å, intensity 237
54.87 deg, 1.673 Å, intensity 197
42.27 deg, 2.138 Å, intensity 183
64.28 deg, 1.449 Å, intensity 171
61.41 deg, 1.510 Å, intensity 160

abc: 5.796 5.796 6.333
angles: 90.00 90.00 120.00
Atoms (fractional coordinates):
Sr 0.000 0.000 0.000
Sr 0.333 0.667 0.623
Sr 0.667 0.333 0.377
Cu 0.333 0.667 0.152
Cu 0.667 0.333 0.848
Pt 0.000 0.000 0.500
O 0.166 0.333 0.308
O 0.166 0.834 0.308
O 0.333 0.166 0.692
O 0.667 0.834 0.308
O 0.834 0.166 0.692
O 0.834 0.667 0.692

---

This entry pairs a crystal structure of Tl2Cu2PtO6 with its theoretical powder diffraction line list. Radiation: Cu Kα (λ = 1.5418 Å). Structure: a cell relaxed with GGA-PBE.
Peak positions follow from Bragg's law for the DFT cell and can differ from measured ones.

Peak list (10 most intense, 5° ≤ 2θ ≤ 70°, by intensity)
30.58 deg, 2.923 Å, intensity 1000
32.84 deg, 2.727 Å, intensity 834
55.81 deg, 1.647 Å, intensity 399
45.49 deg, 1.994 Å, intensity 324
18.36 deg, 4.832 Å, intensity 261
54.36 deg, 1.688 Å, intensity 202
63.67 deg, 1.462 Å, intensity 163
28.24 deg, 3.160 Å, intensity 159
60.02 deg, 1.541 Å, intensity 126
42.11 deg, 2.146 Å, intensity 124

abc: 6.363 6.363 6.363
angles: 54.70 54.70 54.70
Atoms (fractional coordinates):
Tl 0.211 0.211 0.211
Tl 0.789 0.789 0.789
Cu 0.392 0.392 0.392
Cu 0.608 0.608 0.608
Pt 0.000 0.000 0.000
O 0.230 0.230 0.769
O 0.230 0.769 0.230
O 0.231 0.770 0.770
O 0.769 0.230 0.230
O 0.770 0.231 0.770
O 0.770 0.770 0.231

---

This entry pairs a crystal structure of YCuPtO4 with its theoretical powder diffraction line list. Radiation: Cu Kα (λ = 1.5418 Å). Structure: a cell relaxed with GGA-PBE.
Peak positions follow from Bragg's law for the DFT cell and can differ from measured ones.

Peak list (10 most intense, 5° ≤ 2θ ≤ 70°, by intensity)
15.92 deg, 5.568 Å, intensity 1000
32.17 deg, 2.783 Å, intensity 556
34.71 deg, 2.584 Å, intensity 324
33.25 deg, 2.694 Å, intensity 306
30.13 deg, 2.966 Å, intensity 281
37.43 deg, 2.403 Å, intensity 243
48.30 deg, 1.884 Å, intensity 196
57.09 deg, 1.613 Å, intensity 181
41.48 deg, 2.177 Å, intensity 180
24.58 deg, 3.622 Å, intensity 168

abc: 6.510 6.510 6.510
angles: 120.88 112.40 96.06
Atoms (fractional coordinates):
Y 0.000 0.000 0.000
Y 0.500 0.000 0.500
Cu 0.296 0.546 0.750
Cu 0.704 0.454 0.250
Pt 0.000 0.000 0.500
Pt 0.000 0.500 0.000
O 0.175 0.742 0.433
O 0.191 0.258 0.933
O 0.242 0.212 0.470
O 0.242 0.773 0.030
O 0.758 0.227 0.970
O 0.758 0.788 0.530
O 0.809 0.742 0.067
O 0.825 0.258 0.567

---

This entry pairs a crystal structure of Pu2CuO11 with its theoretical powder diffraction line list. Radiation: Cu Kα (λ = 1.5418 Å). Structure: a cell relaxed with GGA-PBE.
Peak positions follow from Bragg's law for the DFT cell and can differ from measured ones.

Peak list (10 most intense, 5° ≤ 2θ ≤ 70°, by intensity)
17.05 deg, 5.201 Å, intensity 1000
27.48 deg, 3.245 Å, intensity 677
23.19 deg, 3.835 Å, intensity 564
18.75 deg, 4.734 Å, intensity 529
23.49 deg, 3.788 Å, intensity 354
28.66 deg, 3.115 Å, intensity 327
25.01 deg, 3.561 Å, intensity 318
26.15 deg, 3.408 Å, intensity 297
20.66 deg, 4.299 Å, intensity 273
34.49 deg, 2.600 Å, intensity 212

abc: 7.413 8.295 8.560
angles: 101.69 106.46 113.16
Atoms (fractional coordinates):
Pu 0.000 0.000 0.000
Pu 0.074 0.602 0.426
Pu 0.452 0.482 0.936
Pu 0.638 0.109 0.494
Cu 0.143 0.129 0.484
Cu 0.944 0.456 0.947
O 0.018 0.581 0.192
O 0.042 0.798 0.958
O 0.048 0.814 0.470
O 0.071 0.026 0.235
O 0.089 0.601 0.641
O 0.142 0.414 0.392
O 0.236 0.523 0.987
O 0.247 0.306 0.717
O 0.387 0.250 0.089
O 0.428 0.167 0.537
O 0.438 0.935 0.285
O 0.468 0.826 0.596
O 0.499 0.338 0.269
O 0.537 0.711 0.659
O 0.601 0.760 0.837
O 0.651 0.658 0.144
O 0.661 0.422 0.893
O 0.686 0.329 0.328
O 0.845 0.288 0.711
O 0.852 0.068 0.440
O 0.911 0.175 0.030
O 0.983 0.004 0.785

---

This entry pairs a crystal structure of SmPuCu2O8 with its theoretical powder diffraction line list. Radiation: Cu Kα (λ = 1.5418 Å). Structure: a cell relaxed with GGA-PBE.
Peak positions follow from Bragg's law for the DFT cell and can differ from measured ones.

Peak list (10 most intense, 5° ≤ 2θ ≤ 70°, by intensity)
32.05 deg, 2.793 Å, intensity 1000
26.12 deg, 3.412 Å, intensity 931
49.94 deg, 1.826 Å, intensity 694
18.35 deg, 4.834 Å, intensity 598
37.26 deg, 2.413 Å, intensity 256
63.94 deg, 1.456 Å, intensity 204
60.47 deg, 1.531 Å, intensity 169
60.69 deg, 1.526 Å, intensity 149
53.73 deg, 1.706 Å, intensity 145
41.85 deg, 2.159 Å, intensity 132

abc: 5.918 5.918 5.918
angles: 109.58 109.58 109.25
Atoms (fractional coordinates):
Sm 0.000 0.000 0.000
Pu 0.250 0.750 0.500
Cu 0.500 0.500 0.000
Cu 0.750 0.250 0.500
O 0.302 0.094 0.792
O 0.302 0.510 0.208
O 0.376 0.045 0.331
O 0.490 0.698 0.792
O 0.714 0.045 0.669
O 0.906 0.698 0.208
O 0.955 0.286 0.331
O 0.955 0.624 0.669